Starting from a crystal structure in OQMD, relaxed with GGA-PBE, the X-ray powder pattern of CuP2Se was calculated for Cu Kα (λ = 1.5418 Å).
Lines closer than 0.1° are merged.

Most intense lines, 2θ from 5° to 70°, low angle first:
index	Position (°2θ)	d/Å	I (rel.)
0 0 4	21.20	4.191	39
1 1 2	23.41	3.800	30
0 2 2	29.38	3.040	35
1 1 4	29.90	2.989	100
2 0 2	33.54	2.672	66
1 1 6	38.52	2.337	28
1 3 2	46.02	1.972	31
0 2 8	51.85	1.763	64

```
data_CuP2Se
_cell_length_a 5.631
_cell_length_b 6.525
_cell_length_c 16.764
_cell_angle_alpha 90.00
_cell_angle_beta 90.00
_cell_angle_gamma 90.00
_symmetry_space_group_name_H-M 'P b c a'
_symmetry_Int_Tables_number 61
loop_
_symmetry_equiv_pos_as_xyz
'x,y,z'
'-x,-y,-z'
'-x+1/2,-y,z+1/2'
'x+1/2,y,-z+1/2'
'x+1/2,-y+1/2,-z'
'-x+1/2,y+1/2,z'
'-x,y+1/2,-z+1/2'
'x,-y+1/2,z+1/2'
loop_
_atom_site_label
_atom_site_type_symbol
_atom_site_fract_x
_atom_site_fract_y
_atom_site_fract_z
Cu1 Cu 0.163 0.075 0.123
P1 P 0.196 0.519 0.997
P2 P 0.197 0.717 0.408
Se1 Se 0.007 0.743 0.681
```

Starting from a crystal structure in OQMD, relaxed with GGA-PBE, the X-ray powder pattern of Cu7PSe6 was calculated for Cu Kα (λ = 1.5418 Å).
Lines closer than 0.1° are merged.

Most intense lines, 2θ from 5° to 70°, low angle first:
index	Position (°2θ)	d/Å	I (rel.)
3 1 1	29.31	3.047	34
2 2 2	30.65	2.917	100
3 1 2	33.17	2.701	34
4 1 1	37.77	2.382	18
4 1 3	45.78	1.982	23
3 3 3	46.71	1.945	48
4 4 0	51.13	1.786	48
6 2 2	60.80	1.523	16

```
data_Cu7PSe6
_cell_length_a 10.105
_cell_length_b 10.105
_cell_length_c 10.105
_cell_angle_alpha 90.00
_cell_angle_beta 90.00
_cell_angle_gamma 90.00
_symmetry_space_group_name_H-M 'P 21 3'
_symmetry_Int_Tables_number 198
_symmetry_space_group_name_Hall 'P 2ac 2ab 3'
loop_
_atom_site_label
_atom_site_type_symbol
_atom_site_fract_x
_atom_site_fract_y
_atom_site_fract_z
Cu1 Cu 0.001 0.476 0.782
Cu2 Cu 0.072 0.604 0.227
Cu3 Cu 0.154 0.846 0.346
P1 P 0.244 0.744 0.756
Se1 Se 0.020 0.980 0.480
Se2 Se 0.105 0.628 0.630
Se3 Se 0.127 0.127 0.127
Se4 Se 0.216 0.284 0.716
```

Starting from a crystal structure in OQMD, relaxed with GGA-PBE, the X-ray powder pattern of Cu4P3Se4 was calculated for Cu Kα (λ = 1.5418 Å).
Lines closer than 0.1° are merged.

Most intense lines, 2θ from 5° to 70°, low angle first:
index	Position (°2θ)	d/Å	I (rel.)
0 0 2	17.76	4.993	44
1 -1 1	23.08	3.854	45
1 -1 2	27.91	3.196	54
1 2 0	28.16	3.169	100
2 0 0	29.10	3.069	91
2 1 2	29.73	3.005	40
0 2 -1	30.10	2.969	54
-1 1 3	34.22	2.620	53

```
data_Cu4P3Se4
_cell_length_a 6.445
_cell_length_b 7.105
_cell_length_c 10.661
_cell_angle_alpha 73.26
_cell_angle_beta 74.95
_cell_angle_gamma 76.81
_symmetry_space_group_name_H-M 'P -1'
_symmetry_Int_Tables_number 2
loop_
_symmetry_equiv_pos_as_xyz
'x,y,z'
'-x,-y,-z'
loop_
_atom_site_label
_atom_site_type_symbol
_atom_site_fract_x
_atom_site_fract_y
_atom_site_fract_z
Cu1 Cu 0.114 0.083 0.096
Cu2 Cu 0.140 0.510 0.260
Cu3 Cu 0.299 0.781 0.690
Cu4 Cu 0.375 0.121 0.257
P1 P 0.096 0.024 0.568
P2 P 0.154 0.391 0.980
P3 P 0.332 0.560 0.048
Se1 Se 0.200 0.839 0.293
Se2 Se 0.238 0.444 0.754
Se3 Se 0.289 0.878 0.909
Se4 Se 0.290 0.277 0.440
```